[1]
# K2ScSO6
Theoretical powder X-ray diffraction pattern, Cu Kα X-rays. Input: a DFT-relaxed cell (GGA-PBE, Alexandria).
Lines closer than 0.1° are merged.

Principal peaks in the range 2θ from 15° to 90°, by angle:
2θ = 16.86°, intensity 1000, (1 0 0)
2θ = 23.96°, intensity 160, (0 1 1)
2θ = 29.37°, intensity 503, (1 1 0)
2θ = 38.26°, intensity 377, (2 0 1)
2θ = 38.38°, intensity 137, (1 0 2)
2θ = 49.06°, intensity 253, (0 2 2)
2θ = 58.21°, intensity 140, (2 1 2)
2θ = 60.94°, intensity 99, (2 2 0)

a b c (Å): 6.0811 6.0811 5.2385
angles (deg): 90.00 90.00 120.00
Space group P-3m1 (No. 164)
Inequivalent atoms, fractional coordinates:
K 0.3333 0.6667 0.3693 x2
Sc 0.0000 0.0000 0.0000 x1
S 0.0000 0.0000 0.5000 x1
O 0.1295 0.2590 0.6906 x6

***

[2]
# AlVAs
Theoretical powder X-ray diffraction pattern, Cu Kα X-rays. Input: a DFT-relaxed cell (GGA-PBE, Alexandria).
Lines closer than 0.1° are merged.

Principal peaks in the range 2θ from 15° to 90°, by angle:
2θ = 23.35°, intensity 351, (1 0 0)
2θ = 32.38°, intensity 277, (0 0 1)
2θ = 40.31°, intensity 779, (1 0 1)
2θ = 41.04°, intensity 1000, (1 1 0)
2θ = 53.22°, intensity 380, (1 1 1)
2θ = 58.88°, intensity 248, (2 0 1)
2θ = 74.27°, intensity 246, (2 1 1)
2θ = 82.40°, intensity 244, (1 1 2)

a b c (Å): 4.3989 4.3989 2.7647
angles (deg): 90.00 90.00 120.00
Space group P-6m2 (No. 187)
Inequivalent atoms, fractional coordinates:
Al 0.0000 0.0000 0.0000 x1
V 0.6667 0.3333 0.5000 x1
As 0.3333 0.6667 0.5000 x1

***

[3]
# BaCa2I6
Theoretical powder X-ray diffraction pattern, Cu Kα X-rays. Input: a DFT-relaxed cell (GGA-PBE, Alexandria).
Lines closer than 0.1° are merged.

Principal peaks in the range 2θ from 15° to 90°, by angle:
2θ = 17.31°, intensity 193, (1 0 1)
2θ = 23.67°, intensity 130, (0 0 2)
2θ = 25.02°, intensity 1000, (2 -1 1)
2θ = 32.53°, intensity 430, (1 1 2)
2θ = 38.60°, intensity 323, (3 0 0)
2θ = 42.44°, intensity 226, (2 -1 3)
2θ = 46.56°, intensity 160, (2 2 1)
2θ = 63.57°, intensity 135, (3 0 4)

a b c (Å): 8.0796 8.0796 7.5189
angles (deg): 90.00 90.00 120.00
Space group P-31m (No. 162)
Inequivalent atoms, fractional coordinates:
Ba 0.0000 0.0000 0.0000 x1
Ca 0.3333 0.6667 0.5000 x2
I 0.0000 0.3581 0.2620 x6

***

[4]
# ZnCd4Hg5
Theoretical powder X-ray diffraction pattern, Cu Kα X-rays. Input: a DFT-relaxed cell (GGA-PBE, Alexandria).
Lines closer than 0.1° are merged.

Principal peaks in the range 2θ from 15° to 90°, by angle:
2θ = 31.82°, intensity 1000, (1 0 2)
2θ = 33.21°, intensity 998, (1 -2 0)
2θ = 33.43°, intensity 916, (1 2 -1)
2θ = 35.65°, intensity 818, (2 0 -1)
2θ = 38.97°, intensity 669, (1 0 -3)
2θ = 41.91°, intensity 460, (0 2 2)
2θ = 42.14°, intensity 482, (0 2 -3)
2θ = 51.07°, intensity 259, (2 -2 2)

a b c (Å): 5.168 6.359 7.513
angles (deg): 101.86 96.91 90.34
Space group P-1 (No. 2)
Inequivalent atoms, fractional coordinates:
Zn 0.000 0.000 0.000 x1
Cd 0.178 0.107 0.375 x2
Cd 0.412 0.689 0.825 x2
Hg 0.000 0.500 0.000 x1
Hg 0.225 0.613 0.415 x2
Hg 0.366 0.165 0.781 x2

***

[5]
# Ac2ZrTl2Se6
Theoretical powder X-ray diffraction pattern, Cu Kα X-rays. Input: a DFT-relaxed cell (GGA-PBE, Alexandria).
Lines closer than 0.1° are merged.

Principal peaks in the range 2θ from 15° to 90°, by angle:
2θ = 24.91°, intensity 156, (1 3 -1)
2θ = 28.07°, intensity 467, (2 0 -2)
2θ = 28.32°, intensity 1000, (1 3 1)
2θ = 39.16°, intensity 172, (2 0 2)
2θ = 39.39°, intensity 336, (1 3 -3)
2θ = 41.21°, intensity 326, (3 3 -1)
2θ = 41.79°, intensity 159, (0 6 0)
2θ = 51.10°, intensity 169, (2 6 -2)

a b c (Å): 7.624 12.969 8.095
angles (deg): 90.00 108.25 90.00
Space group C2/m (No. 12)
Inequivalent atoms, fractional coordinates:
Ac 0.000 0.166 0.000 x4
Zr 0.000 0.500 0.000 x2
Tl 0.000 0.332 0.500 x4
Se 0.219 0.350 0.206 x8
Se 0.222 0.500 0.789 x4

***

[6]
# Ac6Tb
Theoretical powder X-ray diffraction pattern, Cu Kα X-rays. Input: a DFT-relaxed cell (GGA-PBE, Alexandria).
Lines closer than 0.1° are merged.

Principal peaks in the range 2θ from 15° to 90°, by angle:
2θ = 25.93°, intensity 1000, (2 0 1)
2θ = 27.79°, intensity 716, (1 1 3)
2θ = 28.64°, intensity 405, (0 0 4)
2θ = 28.83°, intensity 671, (2 1 1)
2θ = 31.45°, intensity 863, (2 1 2)
2θ = 33.06°, intensity 380, (2 0 3)
2θ = 35.49°, intensity 471, (2 2 0)
2θ = 49.83°, intensity 564, (3 1 4)

a b c (Å): 7.148 7.148 12.468
angles (deg): 90.00 90.00 90.00
Space group P4/nbm (No. 125, origin choice 2)
Inequivalent atoms, fractional coordinates:
Ac 0.078 0.578 0.137 x8
Ac 0.250 0.250 0.362 x4
Tb 0.250 0.750 0.500 x2

***

[7]
# Li3In2P3O12
Theoretical powder X-ray diffraction pattern, Cu Kα X-rays. Input: a DFT-relaxed cell (GGA-PBE, Alexandria).
Lines closer than 0.1° are merged.

Principal peaks in the range 2θ from 15° to 90°, by angle:
2θ = 19.18°, intensity 1000, (1 0 4)
2θ = 20.53°, intensity 542, (1 1 0)
2θ = 23.49°, intensity 417, (2 -1 3)
2θ = 28.24°, intensity 505, (0 2 4)
2θ = 30.77°, intensity 921, (2 -1 6)
2θ = 35.17°, intensity 311, (3 -1 4)
2θ = 35.96°, intensity 365, (3 0 0)
2θ = 50.41°, intensity 273, (3 -1 10)

a b c (Å): 8.6505 8.6505 23.5433
angles (deg): 90.00 90.00 120.00
Space group R-3 (No. 148, hexagonal axes)
Inequivalent atoms, fractional coordinates:
Li 0.0192 0.3778 0.2137 x18
In 0.0000 0.0000 0.1543 x6
In 0.0000 0.0000 0.3536 x6
P 0.0006 0.7031 0.2490 x18
O 0.0052 0.7986 0.3032 x18
O 0.0640 0.8379 0.5880 x18
O 0.0777 0.5695 0.8651 x18
O 0.0937 0.5658 0.5635 x18

***

[8]
# TbHo6
Theoretical powder X-ray diffraction pattern, Cu Kα X-rays. Input: a DFT-relaxed cell (GGA-PBE, Alexandria).
Lines closer than 0.1° are merged.

Principal peaks in the range 2θ from 15° to 90°, by angle:
2θ = 28.87°, intensity 1000, (2 0 1)
2θ = 31.48°, intensity 788, (1 1 3)
2θ = 32.10°, intensity 611, (2 1 1)
2θ = 32.87°, intensity 305, (0 0 4)
2θ = 35.20°, intensity 804, (2 1 2)
2θ = 39.52°, intensity 275, (2 2 0)
2θ = 56.34°, intensity 531, (3 1 4)
2θ = 66.70°, intensity 455, (3 3 3)

a b c (Å): 6.450 6.450 10.899
angles (deg): 90.00 90.00 90.00
Space group P4/nbm (No. 125, origin choice 2)
Inequivalent atoms, fractional coordinates:
Tb 0.250 0.750 0.000 x2
Ho 0.082 0.582 0.362 x8
Ho 0.250 0.250 0.140 x4

***

[9]
# TlSb5S8
Theoretical powder X-ray diffraction pattern, Cu Kα X-rays. Input: a DFT-relaxed cell (GGA-PBE, Alexandria).
Lines closer than 0.1° are merged.

Principal peaks in the range 2θ from 15° to 90°, by angle:
2θ = 20.83°, intensity 490, (1 4 -1)
2θ = 23.72°, intensity 576, (1 2 1)
2θ = 23.84°, intensity 380, (1 2 -3)
2θ = 24.90°, intensity 1000, (1 5 -1)
2θ = 29.91°, intensity 584, (2 2 0)
2θ = 30.05°, intensity 556, (2 2 -4)
2θ = 31.66°, intensity 467, (2 3 0)
2θ = 37.54°, intensity 500, (0 7 2)

a b c (Å): 8.555 19.665 12.512
angles (deg): 90.00 132.85 90.00
Space group Pc (No. 7)
Inequivalent atoms, fractional coordinates:
Tl 0.000 0.050 0.000 x2
Tl 0.929 0.448 0.729 x2
Sb 0.198 0.235 0.986 x2
Sb 0.207 0.270 0.294 x2
Sb 0.367 0.131 0.792 x2
Sb 0.427 0.042 0.449 x2
Sb 0.431 0.456 0.194 x2
Sb 0.606 0.346 0.031 x2
Sb 0.622 0.285 0.737 x2
Sb 0.795 0.214 0.546 x2
Sb 0.852 0.149 0.268 x2
Sb 0.997 0.371 0.466 x2
S 0.003 0.388 0.272 x2
S 0.029 0.040 0.287 x2
S 0.183 0.222 0.466 x2
S 0.229 0.271 0.814 x2
S 0.361 0.416 0.686 x2
S 0.404 0.095 0.997 x2
S 0.437 0.159 0.335 x2
S 0.448 0.463 0.006 x2
S 0.462 0.007 0.783 x2
S 0.565 0.302 0.197 x2
S 0.581 0.332 0.538 x2
S 0.794 0.177 0.739 x2
S 0.813 0.483 0.415 x2
S 0.839 0.207 0.085 x2
S 0.981 0.337 0.950 x2
S 0.984 0.102 0.583 x2

***

[10]
# CePuBr5
Theoretical powder X-ray diffraction pattern, Cu Kα X-rays. Input: a DFT-relaxed cell (GGA-PBE, Alexandria).
Lines closer than 0.1° are merged.

Principal peaks in the range 2θ from 15° to 90°, by angle:
2θ = 22.42°, intensity 441, (1 0 3)
2θ = 27.37°, intensity 848, (1 1 2)
2θ = 30.06°, intensity 980, (2 1 0)
2θ = 30.37°, intensity 833, (1 1 -3)
2θ = 32.30°, intensity 1000, (0 0 5)
2θ = 40.00°, intensity 445, (1 1 -5)
2θ = 40.76°, intensity 555, (2 1 4)
2θ = 43.40°, intensity 563, (0 2 0)

a b c (Å): 8.493 4.170 13.881
angles (deg): 90.00 93.21 90.00
Space group P2_1/m (No. 11)
Inequivalent atoms, fractional coordinates:
Ce 0.079 0.250 0.156 x2
Pu 0.411 0.750 0.357 x2
Br 0.139 0.250 0.786 x2
Br 0.154 0.250 0.372 x2
Br 0.184 0.750 0.017 x2
Br 0.355 0.750 0.571 x2
Br 0.432 0.250 0.195 x2

***

[11]
# Fe2Rh3
Theoretical powder X-ray diffraction pattern, Cu Kα X-rays. Input: a DFT-relaxed cell (GGA-PBE, Alexandria).
Lines closer than 0.1° are merged.

Principal peaks in the range 2θ from 15° to 90°, by angle:
2θ = 39.94°, intensity 313, (0 2 0)
2θ = 42.04°, intensity 256, (0 0 10)
2θ = 42.94°, intensity 1000, (1 1 5)
2θ = 59.38°, intensity 178, (0 2 10)
2θ = 74.60°, intensity 183, (1 3 5)
2θ = 77.45°, intensity 148, (1 1 15)
2θ = 79.30°, intensity 78, (2 2 0)
2θ = 80.70°, intensity 71, (2 0 10)

a b c (Å): 2.860 4.514 21.491
angles (deg): 90.00 90.00 90.00
Space group Fmmm (No. 69)
Inequivalent atoms, fractional coordinates:
Fe 0.000 0.000 0.099 x8
Rh 0.000 0.000 0.305 x8
Rh 0.000 0.000 0.500 x4